Structure and theoretical powder X-ray diffraction pattern of Li2Mn3CoO8 (a cell relaxed with PBE+U; Cu Kα (λ = 1.5418 Å)).

Structural model:
a b c (Å): 5.8235 5.8330 8.4293
angles (deg): 90.00 90.18 90.00
Atoms (fractional coordinates):
Li 0.2417 0.0000 0.1140
Li 0.2543 0.5000 0.3848
Li 0.7457 0.5000 0.6152
Li 0.7583 0.0000 0.8860
Mn 0.0000 0.5000 0.0000
Mn 0.2470 0.2532 0.7430
Mn 0.2470 0.7468 0.7430
Mn 0.5000 0.0000 0.5000
Mn 0.7530 0.2532 0.2570
Mn 0.7530 0.7468 0.2570
Co 0.0000 0.0000 0.5000
Co 0.5000 0.5000 0.0000
O 0.0256 0.0000 0.7287
O 0.0304 0.5000 0.7364
O 0.2380 0.2650 0.9692
O 0.2380 0.7350 0.9692
O 0.2533 0.2172 0.5110
O 0.2533 0.7828 0.5110
O 0.4653 0.5000 0.7431
O 0.4752 0.0000 0.7311
O 0.5248 0.0000 0.2689
O 0.5347 0.5000 0.2569
O 0.7467 0.2172 0.4890
O 0.7467 0.7828 0.4890
O 0.7620 0.2650 0.0308
O 0.7620 0.7350 0.0308
O 0.9696 0.5000 0.2636
O 0.9744 0.0000 0.2713

Main lines, by angle (5 to 70 degrees two-theta):
- hkl 1 0 -1, d = 4.794 Å, I = 100
- hkl 0 1 3, d = 2.531 Å, I = 16
- hkl 1 2 1, d = 2.490 Å, I = 31
- hkl 0 2 2, d = 2.399 Å, I = 9
- hkl 0 0 4, d = 2.107 Å, I = 18
- hkl 2 2 0, d = 2.061 Å, I = 35
- hkl 3 2 -1, d = 1.588 Å, I = 12
- hkl 2 2 -4, d = 1.475 Å, I = 11
- hkl 2 2 4, d = 1.472 Å, I = 10
- hkl 0 4 0, d = 1.458 Å, I = 5